Computed powder X-ray diffraction pattern of KNpS2O for Cu Kα (weighted mean of Kα1 and Kα2), from a cell relaxed with PBE.
Kinematic intensities with the Lorentz-polarization factor, no thermal factor.

Structure:
abc: 7.5247 4.0406 8.8220
angles: 90.00 106.15 90.00
Positions (direct):
K (0.1957, 0.2500, 0.3174)
K (0.8043, 0.7500, 0.6826)
Np (0.3152, 0.2500, 0.8250)
Np (0.6848, 0.7500, 0.1750)
S (0.3200, 0.7500, 0.0387)
S (0.3437, 0.7500, 0.6390)
S (0.6563, 0.2500, 0.3610)
S (0.6800, 0.2500, 0.9613)
O (0.0579, 0.2500, 0.7603)
O (0.9421, 0.7500, 0.2397)

Largest 6 diffraction maxima, in order of rising 2θ, 2θ = 10–80°:
2θ (°), Rel. int.
10.44, 36
13.71, 100
24.41, 30
25.25, 39
30.58, 49
30.70, 44

Computed powder X-ray diffraction pattern of PuHg3Au for Cu Kα (weighted mean of Kα1 and Kα2), from a cell relaxed with PBE.
Kinematic intensities with the Lorentz-polarization factor, no thermal factor.

Structure:
abc: 4.9192 5.8711 5.8711
angles: 50.36 90.00 90.00
Positions (direct):
Pu (0.0000, 0.0000, 0.0000)
Hg (0.0000, 0.6900, 0.6900)
Hg (0.5000, 0.1858, 0.1858)
Hg (0.5000, 0.4902, 0.4902)
Au (0.0000, 0.3330, 0.3330)

Largest 6 diffraction maxima, in order of rising 2θ, 2θ = 10–80°:
2θ (°), Rel. int.
26.78, 13
36.03, 100
36.53, 20
52.19, 15
64.69, 15
65.45, 14

Computed powder X-ray diffraction pattern of TlFeTeW for Cu Kα (weighted mean of Kα1 and Kα2), from a cell relaxed with PBE.
Kinematic intensities with the Lorentz-polarization factor, no thermal factor.

Structure:
abc: 3.9037 3.9037 7.5803
angles: 105.72 105.72 60.10
Positions (direct):
Tl (0.0000, 0.0000, 0.0000)
Fe (0.8634, 0.8634, 0.6014)
Te (0.4674, 0.4674, 0.4238)
W (0.2290, 0.2290, 0.6931)

Largest 6 diffraction maxima, in order of rising 2θ, 2θ = 10–80°:
2θ (°), Rel. int.
12.29, 56
26.68, 54
30.99, 53
31.31, 100
42.67, 58
46.51, 89

Computed powder X-ray diffraction pattern of NdTa2N4 for Cu Kα (weighted mean of Kα1 and Kα2), from a cell relaxed with PBE.
Kinematic intensities with the Lorentz-polarization factor, no thermal factor.

Structure:
abc: 5.4043 5.4043 10.5207
angles: 90.00 90.00 145.76
Positions (direct):
Nd (0.1167, 0.8833, 0.7500)
Nd (0.8833, 0.1167, 0.2500)
Ta (0.3709, 0.6291, 0.5659)
Ta (0.3709, 0.6291, 0.9341)
Ta (0.6291, 0.3709, 0.0659)
Ta (0.6291, 0.3709, 0.4341)
N (0.0000, 0.0000, 0.0000)
N (0.0000, 0.0000, 0.5000)
N (0.2651, 0.7349, 0.1084)
N (0.2651, 0.7349, 0.3916)
N (0.4326, 0.5674, 0.7500)
N (0.5674, 0.4326, 0.2500)
N (0.7349, 0.2651, 0.6084)
N (0.7349, 0.2651, 0.8916)

Largest 6 diffraction maxima, in order of rising 2θ, 2θ = 10–80°:
2θ (°), Rel. int.
30.60, 34
30.82, 100
34.06, 46
34.74, 35
39.50, 27
42.32, 32

Computed powder X-ray diffraction pattern of AcYCd17 for Cu Kα (weighted mean of Kα1 and Kα2), from a cell relaxed with PBE.
Kinematic intensities with the Lorentz-polarization factor, no thermal factor.

Structure:
abc: 7.7178 7.7178 7.7178
angles: 82.30 82.30 82.30
Positions (direct):
Ac (0.0000, 0.0000, 0.0000)
Y (0.3386, 0.3386, 0.3386)
Cd (0.0405, 0.0405, 0.4703)
Cd (0.0405, 0.4703, 0.0405)
Cd (0.1458, 0.6832, 0.6832)
Cd (0.3168, 0.3168, 0.7946)
Cd (0.3168, 0.7946, 0.3168)
Cd (0.3695, 0.6618, 0.9661)
Cd (0.3695, 0.9661, 0.6618)
Cd (0.4703, 0.0405, 0.0405)
Cd (0.5593, 0.5593, 0.5593)
Cd (0.6618, 0.3695, 0.9661)
Cd (0.6618, 0.9661, 0.3695)
Cd (0.6832, 0.1458, 0.6832)
Cd (0.6832, 0.6832, 0.1458)
Cd (0.7577, 0.7577, 0.7577)
Cd (0.7946, 0.3168, 0.3168)
Cd (0.9661, 0.3695, 0.6618)
Cd (0.9661, 0.6618, 0.3695)

Largest 6 diffraction maxima, in order of rising 2θ, 2θ = 10–80°:
2θ (°), Rel. int.
30.49, 35
35.35, 44
35.46, 100
35.79, 29
36.16, 29
39.79, 40

Computed powder X-ray diffraction pattern of LiNbIN2 for Cu Kα (weighted mean of Kα1 and Kα2), from a cell relaxed with PBE.
Kinematic intensities with the Lorentz-polarization factor, no thermal factor.

Structure:
abc: 4.0475 4.0475 5.9793
angles: 90.00 90.00 90.00
Positions (direct):
Li (0.0000, 0.0000, 0.0000)
Nb (0.5000, 0.5000, 0.5000)
I (0.5000, 0.5000, 0.0000)
N (0.0000, 0.5000, 0.5000)
N (0.5000, 0.0000, 0.5000)

Largest 6 diffraction maxima, in order of rising 2θ, 2θ = 10–80°:
2θ (°), Rel. int.
21.96, 100
29.89, 32
31.25, 34
37.40, 50
43.79, 27
59.72, 25

Computed powder X-ray diffraction pattern of Tb3Dy2Tl6 for Cu Kα (weighted mean of Kα1 and Kα2), from a cell relaxed with PBE.
Kinematic intensities with the Lorentz-polarization factor, no thermal factor.

Structure:
abc: 15.1744 15.1744 15.1744
angles: 162.03 162.03 25.52
Positions (direct):
Tb (0.0000, 0.0000, 0.0000)
Tb (0.2003, 0.2003, 0.0000)
Tb (0.7997, 0.7997, 0.0000)
Dy (0.4466, 0.4466, 0.0000)
Dy (0.5534, 0.5534, 0.0000)
Tl (0.1194, 0.6194, 0.5000)
Tl (0.3040, 0.3040, 0.0000)
Tl (0.3806, 0.8806, 0.5000)
Tl (0.6194, 0.1194, 0.5000)
Tl (0.6960, 0.6960, 0.0000)
Tl (0.8806, 0.3806, 0.5000)

Largest 6 diffraction maxima, in order of rising 2θ, 2θ = 10–80°:
2θ (°), Rel. int.
29.25, 100
36.16, 90
37.97, 69
54.78, 24
63.31, 23
67.42, 30

Computed powder X-ray diffraction pattern of Ba7Ir6O19 for Cu Kα (weighted mean of Kα1 and Kα2), from a cell relaxed with PBE.
Kinematic intensities with the Lorentz-polarization factor, no thermal factor.

Structure:
abc: 8.0621 8.0621 11.1822
angles: 98.39 98.39 42.38
Positions (direct):
Ba (0.0000, 0.0000, 0.0000)
Ba (0.0731, 0.0731, 0.6621)
Ba (0.3041, 0.3041, 0.9104)
Ba (0.3548, 0.3548, 0.5548)
Ba (0.6452, 0.6452, 0.4452)
Ba (0.6959, 0.6959, 0.0896)
Ba (0.9269, 0.9269, 0.3379)
Ir (0.1559, 0.1559, 0.2813)
Ir (0.3179, 0.3179, 0.2348)
Ir (0.4778, 0.4778, 0.1773)
Ir (0.5222, 0.5222, 0.8227)
Ir (0.6821, 0.6821, 0.7652)
Ir (0.8441, 0.8441, 0.7187)
O (0.0276, 0.4871, 0.3369)
O (0.1033, 0.1033, 0.4353)
O (0.1434, 0.6086, 0.1331)
O (0.1781, 0.6782, 0.7949)
O (0.2035, 0.2035, 0.1131)
O (0.3218, 0.8219, 0.2051)
O (0.3914, 0.8566, 0.8669)
O (0.4435, 0.4435, 0.3496)
O (0.4871, 0.0276, 0.3369)
O (0.5000, 0.5000, 0.0000)
O (0.5129, 0.9724, 0.6631)
O (0.5565, 0.5565, 0.6504)
O (0.6086, 0.1434, 0.1331)
O (0.6782, 0.1781, 0.7949)
O (0.7965, 0.7965, 0.8869)
O (0.8219, 0.3218, 0.2051)
O (0.8566, 0.3914, 0.8669)
O (0.8967, 0.8967, 0.5647)
O (0.9724, 0.5129, 0.6631)

Largest 6 diffraction maxima, in order of rising 2θ, 2θ = 10–80°:
2θ (°), Rel. int.
16.05, 29
18.63, 32
26.99, 36
30.10, 100
30.68, 51
40.98, 20

Computed powder X-ray diffraction pattern of Li5GePd6 for Cu Kα (weighted mean of Kα1 and Kα2), from a cell relaxed with PBE.
Kinematic intensities with the Lorentz-polarization factor, no thermal factor.

Structure:
abc: 7.3386 7.3386 4.2655
angles: 106.72 106.72 47.97
Positions (direct):
Li (0.0000, 0.0000, 0.0000)
Li (0.1677, 0.1677, 0.6678)
Li (0.3319, 0.3319, 0.3318)
Li (0.6681, 0.6681, 0.6682)
Li (0.8323, 0.8323, 0.3322)
Ge (0.5000, 0.5000, 0.0000)
Pd (0.0858, 0.5842, 0.8350)
Pd (0.2520, 0.7480, 0.5000)
Pd (0.4158, 0.9142, 0.1650)
Pd (0.5842, 0.0858, 0.8350)
Pd (0.7480, 0.2520, 0.5000)
Pd (0.9142, 0.4158, 0.1650)

Largest 6 diffraction maxima, in order of rising 2θ, 2θ = 10–80°:
2θ (°), Rel. int.
29.65, 49
29.75, 48
29.95, 47
42.38, 34
42.64, 100
42.73, 66

Computed powder X-ray diffraction pattern of BeFeOs for Cu Kα (weighted mean of Kα1 and Kα2), from a cell relaxed with PBE.
Kinematic intensities with the Lorentz-polarization factor, no thermal factor.

Structure:
abc: 3.9187 4.6605 4.6908
angles: 97.51 114.60 114.86
Positions (direct):
Be (0.0791, 0.4241, 0.2315)
Be (0.9209, 0.5759, 0.7685)
Fe (0.2479, 0.2740, 0.7238)
Fe (0.7521, 0.7260, 0.2762)
Os (0.4186, 0.0911, 0.2447)
Os (0.5814, 0.9089, 0.7553)

Largest 6 diffraction maxima, in order of rising 2θ, 2θ = 10–80°:
2θ (°), Rel. int.
22.64, 79
29.51, 100
39.16, 65
45.07, 77
46.34, 39
46.54, 74

Computed powder X-ray diffraction pattern of Dy4MgCd2 for Cu Kα (weighted mean of Kα1 and Kα2), from a cell relaxed with PBE.
Kinematic intensities with the Lorentz-polarization factor, no thermal factor.

Structure:
abc: 9.2174 9.2174 9.2174
angles: 33.53 33.53 33.53
Positions (direct):
Dy (0.1278, 0.1278, 0.1278)
Dy (0.2789, 0.2789, 0.2789)
Dy (0.7211, 0.7211, 0.7211)
Dy (0.8722, 0.8722, 0.8722)
Mg (0.5000, 0.5000, 0.5000)
Cd (0.3976, 0.3976, 0.3976)
Cd (0.6024, 0.6024, 0.6024)

Largest 6 diffraction maxima, in order of rising 2θ, 2θ = 10–80°:
2θ (°), Rel. int.
20.45, 24
30.88, 46
33.71, 100
39.74, 16
46.36, 24
60.29, 23

Computed powder X-ray diffraction pattern of Tb2ZnGa2Rh5 for Cu Kα (weighted mean of Kα1 and Kα2), from a cell relaxed with PBE.
Kinematic intensities with the Lorentz-polarization factor, no thermal factor.

Structure:
abc: 9.8086 9.8086 3.5095
angles: 90.00 90.00 90.00
Positions (direct):
Tb (0.1734, 0.3266, 0.0000)
Tb (0.3266, 0.8266, 0.0000)
Tb (0.6734, 0.1734, 0.0000)
Tb (0.8266, 0.6734, 0.0000)
Zn (0.0000, 0.0000, 0.0000)
Zn (0.5000, 0.5000, 0.0000)
Ga (0.1262, 0.6262, 0.0000)
Ga (0.3738, 0.1262, 0.0000)
Ga (0.6262, 0.8738, 0.0000)
Ga (0.8738, 0.3738, 0.0000)
Rh (0.0000, 0.5000, 0.5000)
Rh (0.0660, 0.7985, 0.5000)
Rh (0.2015, 0.0660, 0.5000)
Rh (0.2985, 0.5660, 0.5000)
Rh (0.4340, 0.2985, 0.5000)
Rh (0.5000, 0.0000, 0.5000)
Rh (0.5660, 0.7015, 0.5000)
Rh (0.7015, 0.4340, 0.5000)
Rh (0.7985, 0.9340, 0.5000)
Rh (0.9340, 0.2015, 0.5000)

Largest 6 diffraction maxima, in order of rising 2θ, 2θ = 10–80°:
2θ (°), Rel. int.
32.68, 29
37.82, 56
38.74, 100
38.96, 25
42.02, 33
66.18, 21